The following is a computed XRD peak list of Y2Ga5Ru. It was derived from a PBE-relaxed structure, using Cu Kα.
Peak positions follow from Bragg's law for the DFT cell and can differ from measured ones.

The 10 most intense peaks (15 to 90 degrees two-theta), low angle first:
2θ (°)  I_rel
29.40  50
34.28  36
36.07  100
41.55  66
42.55  35
45.54  24
46.01  24
60.22  17
60.99  39
72.23  18

```
Y2Ga5Ru
1.0
6.147 0.000 0.000
0.000 6.147 0.000
0.000 0.000 8.498
Y Ga Ru
4 10 2
Cartesian
0.000 3.074 0.000
0.000 3.074 4.249
3.074 0.000 0.000
3.074 0.000 4.249
0.000 0.000 0.089
1.310 1.310 2.105
1.310 4.837 2.105
1.763 1.763 6.354
1.763 4.384 6.354
3.074 3.074 4.338
4.384 1.763 6.354
4.384 4.384 6.354
4.837 1.310 2.105
4.837 4.837 2.105
0.000 0.000 6.156
3.074 3.074 1.907
```

The following is a computed XRD peak list of Y2Ga4Ru3. It was derived from a PBE-relaxed structure, using Cu Kα.
Peak positions follow from Bragg's law for the DFT cell and can differ from measured ones.

The 10 most intense peaks (15 to 90 degrees two-theta), low angle first:
2θ (°)  I_rel
33.36  19
38.48  21
39.10  100
40.06  26
40.40  22
41.06  44
42.24  27
43.96  26
63.48  23
68.67  20

```
Y2Ga4Ru3
1.0
0.000 4.763 6.418
2.686 0.000 6.418
2.686 4.763 0.000
Y Ga Ru
2 4 3
Cartesian
2.686 4.763 1.631
2.686 4.763 11.206
2.686 3.150 4.322
2.686 3.150 8.514
2.686 6.375 4.322
2.686 6.375 8.514
1.343 2.381 0.000
1.343 2.381 6.418
2.686 4.763 6.418
```

The following is a computed XRD peak list of Y12Ga6Ru. It was derived from a PBE-relaxed structure, using Cu Kα.
Peak positions follow from Bragg's law for the DFT cell and can differ from measured ones.

The 10 most intense peaks (15 to 90 degrees two-theta), low angle first:
2θ (°)  I_rel
22.47  65
25.94  43
30.93  34
32.73  63
36.89  96
37.14  100
38.44  20
48.13  17
53.35  26
54.14  17

```
Y12Ga6Ru
1.0
6.404 3.698 3.992
-6.404 3.698 3.992
0.000 -7.395 3.992
Y Ga Ru
12 6 1
Cartesian
-4.120 -4.187 6.595
-5.686 1.474 5.382
-1.574 -1.948 4.704
1.566 -5.661 5.382
-0.900 2.337 4.704
-2.474 0.389 7.272
2.474 -0.389 4.704
0.900 -2.337 7.272
-1.566 5.661 6.595
1.574 1.948 7.272
5.686 -1.474 6.595
4.120 4.187 5.382
-3.110 0.554 4.224
1.075 -2.971 4.224
-2.035 -2.416 7.753
2.035 2.416 4.224
-1.075 2.971 7.753
3.110 -0.554 7.753
0.000 0.000 0.000
```

The following is a computed XRD peak list of Yb2Ga10Ru3. It was derived from a PBE-relaxed structure, using Cu Kα.
Peak positions follow from Bragg's law for the DFT cell and can differ from measured ones.

The 10 most intense peaks (15 to 90 degrees two-theta), low angle first:
2θ (°)  I_rel
22.27  39
34.47  28
34.73  23
35.95  97
40.11  41
41.72  100
42.70  87
42.99  32
46.35  25
73.57  22

```
Yb2Ga10Ru3
1.0
8.927 0.000 0.000
0.000 8.927 0.000
0.000 0.000 6.405
Yb Ga Ru
4 20 6
Cartesian
1.635 2.828 0.000
2.828 7.292 0.000
6.099 1.635 0.000
7.292 6.099 0.000
0.000 4.464 1.845
0.000 4.464 4.560
0.536 7.087 1.868
0.536 7.087 4.536
1.840 0.536 1.868
1.840 0.536 4.536
2.623 4.999 1.868
2.623 4.999 4.536
3.928 2.623 1.868
3.928 2.623 4.536
4.464 0.000 1.845
4.464 0.000 4.560
4.999 6.304 1.868
4.999 6.304 4.536
6.304 3.928 1.868
6.304 3.928 4.536
7.087 8.391 1.868
7.087 8.391 4.536
8.391 1.840 1.868
8.391 1.840 4.536
0.000 0.000 0.000
1.609 2.854 3.202
2.854 7.318 3.202
4.464 4.464 0.000
6.073 1.609 3.202
7.318 6.073 3.202
```